Record 1
Structure and theoretical powder XRD pattern of LaCdSn3 (DFT lattice parameters and positions (PBE); Cu Ka).
Kinematic intensities with the Lorentz-polarization factor, no thermal factor.

Top 10 peaks for 10° ≤ 2θ ≤ 90°, by angle:
- 2θ = 30.80°, I 100.0, (2 2 0)
- 2θ = 31.73°, I 16.7, (1 1 2)
- 2θ = 33.46°, I 41.3, (5 0 0)
- 2θ = 33.82°, I 30.3, (2 1 2)
- 2θ = 34.31°, I 68.7, (3 0 2)
- 2θ = 37.09°, I 20.7, (3 1 2)
- 2θ = 39.53°, I 32.5, (0 2 2)
- 2θ = 52.73°, I 20.0, (5 2 2)
- 2θ = 57.03°, I 13.3, (0 0 4)
- 2θ = 66.24°, I 15.3, (2 2 4)

Structure:
Cell: 13.391 6.435 6.460 Å, 90.00 90.00 90.00°
Space group Pbcm (No. 57)
Asymmetric unit:
La (0.190, 0.006, 0.250) x4
Cd (0.388, 0.250, 0.000) x4
Sn (0.000, 0.250, 0.000) x4
Sn (0.235, 0.509, 0.250) x4
Sn (0.421, 0.694, 0.750) x4

Record 2
Structure and theoretical powder XRD pattern of La3Cd2Sn (DFT lattice parameters and positions (PBE); Cu Ka).
Kinematic intensities with the Lorentz-polarization factor, no thermal factor.

Top 10 peaks for 10° ≤ 2θ ≤ 90°, by angle:
- 2θ = 31.70°, I 25.4, (0 6 0)
- 2θ = 32.06°, I 25.6, (2 0 0)
- 2θ = 32.23°, I 100.0, (1 3 1)
- 2θ = 45.71°, I 18.3, (2 6 0)
- 2θ = 56.81°, I 18.1, (1 9 1)
- 2θ = 57.26°, I 19.1, (3 3 1)
- 2θ = 57.59°, I 9.1, (0 6 2)
- 2θ = 57.81°, I 9.4, (2 0 2)
- 2θ = 67.45°, I 11.3, (2 6 2)
- 2θ = 76.01°, I 11.7, (4 6 0)

Structure:
Cell: 5.583 16.934 3.886 Å, 90.00 90.00 90.00°
Space group Cmmm (No. 65)
Asymmetric unit:
La (0.000, 0.000, 0.000) x2
La (0.000, 0.337, 0.000) x4
Cd (0.000, 0.176, 0.500) x4
Sn (0.000, 0.500, 0.500) x2

Record 3
Structure and theoretical powder XRD pattern of La4CdSn2 (DFT lattice parameters and positions (PBE); Cu Ka).
Kinematic intensities with the Lorentz-polarization factor, no thermal factor.

Top 10 peaks for 10° ≤ 2θ ≤ 90°, by angle:
- 2θ = 22.90°, I 10.8, (1 0 4)
- 2θ = 32.56°, I 100.0, (1 1 0)
- 2θ = 32.66°, I 98.4, (0 1 8)
- 2θ = 46.79°, I 36.1, (2 0 8)
- 2θ = 58.14°, I 56.8, (3 0 0)
- 2θ = 58.35°, I 18.2, (1 0 16)
- 2θ = 68.20°, I 11.8, (2 2 0)
- 2θ = 68.44°, I 11.3, (0 2 16)
- 2θ = 77.69°, I 16.3, (3 1 8)
- 2θ = 77.86°, I 15.8, (2 1 16)

Structure:
Cell: 5.5001 5.5001 26.8224 Å, 90.00 90.00 120.00°
Space group R-3m (No. 166, hexagonal axes)
Asymmetric unit:
La (0.0000, 0.0000, 0.1222) x6
La (0.0000, 0.0000, 0.3736) x6
Cd (0.0000, 0.0000, 0.5000) x3
Sn (0.0000, 0.0000, 0.2512) x6

Record 4
Structure and theoretical powder XRD pattern of Sr2LaCd2Sn2 (DFT lattice parameters and positions (PBE); Cu Ka).
Kinematic intensities with the Lorentz-polarization factor, no thermal factor.

Top 10 peaks for 10° ≤ 2θ ≤ 90°, by angle:
- 2θ = 27.21°, I 27.7, (1 0 7)
- 2θ = 28.82°, I 100.0, (0 1 8)
- 2θ = 34.30°, I 22.3, (0 1 11)
- 2θ = 37.14°, I 76.8, (1 1 0)
- 2θ = 37.88°, I 15.9, (1 1 3)
- 2θ = 47.68°, I 24.7, (2 0 8)
- 2θ = 53.17°, I 12.5, (1 1 15)
- 2θ = 59.17°, I 22.3, (1 1 18)
- 2θ = 61.93°, I 22.4, (1 2 8)
- 2θ = 66.95°, I 13.5, (3 0 0)

Structure:
Cell: 4.8416 4.8416 36.7804 Å, 90.00 90.00 120.00°
Space group R-3m (No. 166, hexagonal axes)
Asymmetric unit:
Sr (0.0000, 0.0000, 0.1189) x6
La (0.0000, 0.0000, 0.0000) x3
Cd (0.0000, 0.0000, 0.3822) x6
Sn (0.0000, 0.0000, 0.2710) x6

Record 5
Structure and theoretical powder XRD pattern of SrLaCd6 (DFT lattice parameters and positions (PBE); Cu Ka).
Kinematic intensities with the Lorentz-polarization factor, no thermal factor.

Top 10 peaks for 10° ≤ 2θ ≤ 90°, by angle:
- 2θ = 29.06°, I 18.6, (0 2 2)
- 2θ = 30.27°, I 16.9, (0 0 4)
- 2θ = 34.07°, I 100.0, (1 2 2)
- 2θ = 35.13°, I 38.9, (1 0 4)
- 2θ = 35.23°, I 31.2, (2 0 0)
- 2θ = 46.29°, I 10.1, (2 2 2)
- 2θ = 53.02°, I 18.2, (0 2 6)
- 2θ = 62.48°, I 16.4, (3 2 2)
- 2θ = 63.19°, I 15.5, (3 0 4)
- 2θ = 65.28°, I 17.5, (2 2 6)

Structure:
Cell: 5.095 7.197 11.811 Å, 90.00 90.00 90.00°
Space group Amm2 (No. 38)
Asymmetric unit:
Sr (0.000, 0.000, 0.000) x2
La (0.500, 0.000, 0.696) x2
Cd (0.000, 0.000, 0.515) x2
Cd (0.000, 0.220, 0.263) x4
Cd (0.500, 0.000, 0.190) x2
Cd (0.500, 0.213, 0.431) x4

Record 6
Structure and theoretical powder XRD pattern of Sr2LaCd (DFT lattice parameters and positions (PBE); Cu Ka).
Kinematic intensities with the Lorentz-polarization factor, no thermal factor.

Top 10 peaks for 10° ≤ 2θ ≤ 90°, by angle:
- 2θ = 29.24°, I 100.0, (1 1 1)
- 2θ = 30.85°, I 21.7, (0 0 2)
- 2θ = 31.40°, I 20.7, (0 2 0)
- 2θ = 38.90°, I 11.5, (2 0 0)
- 2θ = 44.60°, I 15.5, (0 2 2)
- 2θ = 50.45°, I 10.7, (2 0 2)
- 2θ = 50.82°, I 10.5, (2 2 0)
- 2θ = 53.87°, I 17.6, (1 1 3)
- 2θ = 54.58°, I 16.9, (1 3 1)
- 2θ = 60.64°, I 12.2, (2 2 2)

Structure:
Cell: 4.630 5.697 5.797 Å, 90.00 90.00 90.00°
Space group Pmmm (No. 47)
Asymmetric unit:
Sr (0.000, 0.000, 0.000) x1
Sr (0.500, 0.500, 0.000) x1
La (0.000, 0.500, 0.500) x1
Cd (0.500, 0.000, 0.500) x1

Please write out number 4 again, unchanged.
Structure and theoretical powder XRD pattern of Sr2LaCd2Sn2 (DFT lattice parameters and positions (PBE); Cu Ka).
Kinematic intensities with the Lorentz-polarization factor, no thermal factor.

Top 10 peaks for 10° ≤ 2θ ≤ 90°, by angle:
- 2θ = 27.21°, I 27.7, (1 0 7)
- 2θ = 28.82°, I 100.0, (0 1 8)
- 2θ = 34.30°, I 22.3, (0 1 11)
- 2θ = 37.14°, I 76.8, (1 1 0)
- 2θ = 37.88°, I 15.9, (1 1 3)
- 2θ = 47.68°, I 24.7, (2 0 8)
- 2θ = 53.17°, I 12.5, (1 1 15)
- 2θ = 59.17°, I 22.3, (1 1 18)
- 2θ = 61.93°, I 22.4, (1 2 8)
- 2θ = 66.95°, I 13.5, (3 0 0)

Structure:
Cell: 4.8416 4.8416 36.7804 Å, 90.00 90.00 120.00°
Space group R-3m (No. 166, hexagonal axes)
Asymmetric unit:
Sr (0.0000, 0.0000, 0.1189) x6
La (0.0000, 0.0000, 0.0000) x3
Cd (0.0000, 0.0000, 0.3822) x6
Sn (0.0000, 0.0000, 0.2710) x6